No. 1
Computed powder diffractogram of Ni15As for Cu Kα X-rays, from a GGA-PBE-relaxed structure.
Peak positions follow from Bragg's law for the DFT cell and can differ from measured ones.

Principal peaks in the range 2θ = 5–70°, by angle:
d_spacing  I_rel
16.676  100
11.117  20
8.338  18
2.071  42
2.017  79
1.971  36
1.778  25
1.754  16
1.752  8
1.714  23

Structure:
a b c (Å): 4.9352 3.5079 33.3519
angles (deg): 90.00 90.00 90.00
Atoms (fractional coordinates):
Ni: 0.0000 0.0000 0.0000
Ni: 0.9998 0.0000 0.0738
Ni: 0.9999 0.0000 0.1475
Ni: 0.0000 0.0000 0.2214
Ni: 0.9999 0.0000 0.2955
Ni: 0.0003 0.0000 0.9252
Ni: 0.2495 0.5000 0.2588
Ni: 0.2499 0.5000 0.0370
Ni: 0.2501 0.5000 0.1108
Ni: 0.2499 0.5000 0.1846
Ni: 0.2505 0.5000 0.3344
Ni: 0.2499 0.5000 0.8887
Ni: 0.2499 0.5000 0.9629
Ni: 0.4995 0.0000 0.9252
Ni: 0.4998 0.0000 0.9999
Ni: 0.5000 0.0000 0.0737
Ni: 0.5000 0.0000 0.1476
Ni: 0.4999 0.0000 0.2216
Ni: 0.4999 0.0000 0.2953
Ni: 0.5000 0.0000 0.3694
Ni: 0.5006 0.0000 0.8497
Ni: 0.7492 0.5000 0.3344
Ni: 0.7499 0.5000 0.0367
Ni: 0.7497 0.5000 0.1107
Ni: 0.7499 0.5000 0.1846
Ni: 0.7504 0.5000 0.2588
Ni: 0.7499 0.5000 0.8149
Ni: 0.7500 0.5000 0.8887
Ni: 0.7499 0.5000 0.9625
Ni: 0.9993 0.0000 0.8497
As: 0.9999 0.0000 0.3692
As: 0.2499 0.5000 0.8153

No. 2
Computed powder diffractogram of NiAsOsPd for Cu Kα X-rays, from a GGA-PBE-relaxed structure.
Peak positions follow from Bragg's law for the DFT cell and can differ from measured ones.

Principal peaks in the range 2θ = 5–70°, by angle:
d_spacing  I_rel
3.559  18
3.082  5
2.179  100
1.859  9
1.779  2
1.541  17
1.414  4
1.378  2

Structure:
a b c (Å): 4.3586 4.3586 4.3586
angles (deg): 60.00 60.00 60.00
Atoms (fractional coordinates):
Ni: 0.0000 0.0000 0.0000
As: 0.7500 0.7500 0.7500
Os: 0.2500 0.2500 0.2500
Pd: 0.5000 0.5000 0.5000